Starting from a GGA+U-relaxed structure, the PXRD pattern of SiWO5 was simulated for Cu Kα (weighted mean of Kα1 and Kα2).

Principal peaks in the range 10° ≤ 2θ ≤ 90°, most intense first:
Position (°2θ)  I_rel
17.81  100
26.54  67
27.33  48
23.09  35
36.07  24
55.37  22
37.64  21
43.20  15
54.66  15
38.15  13

Crystal structure
```
data_SiWO5
_cell_length_a 7.464
_cell_length_b 7.704
_cell_length_c 7.463
_cell_angle_alpha 90.00
_cell_angle_beta 119.01
_cell_angle_gamma 90.00
_symmetry_space_group_name_H-M 'C 1 2/c 1'
_symmetry_Int_Tables_number 15
_symmetry_space_group_name_Hall '-C 2yc'
loop_
_atom_site_label
_atom_site_type_symbol
_atom_site_fract_x
_atom_site_fract_y
_atom_site_fract_z
Si1 Si 0.000 0.132 0.250
W1 W 0.000 0.500 0.000
O1 O 0.000 0.434 0.750
O2 O 0.011 0.260 0.079
O3 O 0.203 0.011 0.357
```